No. 1
For TmTeF, the PBE geometry in Alexandria gives the calculated X-ray powder pattern in this record (Cu Kα (weighted mean of Kα1 and Kα2)).

Atomic structure:
a = 7.247 Å, b = 7.505 Å, c = 6.747 Å
α = 90.00°, β = 110.13°, γ = 90.00°
Space group P2_1/c (No. 14)
Unique sites:
Tm: 0.024 0.138 0.245 (multiplicity 4)
Te: 0.296 0.073 0.677 (multiplicity 4)
F: 0.089 0.627 0.623 (multiplicity 4)

The 10 most intense peaks (10 to 80 degrees two-theta), by angle:
2theta	intensity	index
13.01	100	1 0 0
17.59	19	1 1 0
25.23	20	1 1 1
27.80	33	2 1 -1
28.17	45	0 0 2
28.45	75	1 2 -1
34.79	39	2 2 -1
35.13	26	1 0 2
41.81	30	2 2 1
47.14	29	1 2 -3

=====

No. 2
For ThF5, the PBE geometry in Alexandria gives the calculated X-ray powder pattern in this record (Cu Kα (weighted mean of Kα1 and Kα2)).

Atomic structure:
a = 6.142 Å, b = 6.142 Å, c = 9.289 Å
α = 90.00°, β = 90.00°, γ = 90.00°
Space group I4/mcm (No. 140)
Unique sites:
Th: 0.000 0.000 0.250 (multiplicity 4)
F: 0.000 0.000 0.000 (multiplicity 4)
F: 0.178 0.322 0.150 (multiplicity 16)

The 10 most intense peaks (10 to 80 degrees two-theta), by angle:
2theta	intensity	index
19.11	58	0 0 2
20.45	100	1 1 0
28.13	69	1 1 2
29.08	30	2 0 0
35.03	36	2 0 2
41.59	23	2 2 0
44.23	34	1 1 4
46.77	34	3 1 0
49.19	30	2 0 4
50.97	33	3 1 2

=====

No. 3
For ThF4, the PBE geometry in Alexandria gives the calculated X-ray powder pattern in this record (Cu Kα (weighted mean of Kα1 and Kα2)).

Atomic structure:
a = 13.166 Å, b = 11.086 Å, c = 8.609 Å
α = 90.00°, β = 126.10°, γ = 90.00°
Space group C2/c (No. 15)
Unique sites:
Th: 0.000 0.212 0.250 (multiplicity 4)
Th: 0.204 0.428 0.830 (multiplicity 8)
F: 0.000 0.397 0.750 (multiplicity 4)
F: 0.107 0.295 0.567 (multiplicity 8)
F: 0.117 0.380 0.280 (multiplicity 8)
F: 0.122 0.054 0.457 (multiplicity 8)
F: 0.125 0.152 0.155 (multiplicity 8)
F: 0.210 0.470 0.102 (multiplicity 8)
F: 0.250 0.250 0.000 (multiplicity 4)

The 10 most intense peaks (10 to 80 degrees two-theta), by angle:
2theta	intensity	index
20.51	100	0 2 1
21.87	57	3 1 -1
23.17	90	2 2 0
24.34	42	3 1 -2
25.60	26	0 0 2
26.26	46	1 3 -1
26.39	26	3 1 0
42.20	29	2 4 1
42.43	27	1 3 -3
45.37	25	6 2 -3

=====

No. 4
For ThTi2F11, the PBE geometry in Alexandria gives the calculated X-ray powder pattern in this record (Cu Kα (weighted mean of Kα1 and Kα2)).

Atomic structure:
a = 7.422 Å, b = 9.718 Å, c = 11.005 Å
α = 90.00°, β = 90.00°, γ = 90.00°
Space group Ibam (No. 72)
Unique sites:
Th: 0.000 0.000 0.250 (multiplicity 4)
Ti: 0.129 0.321 0.000 (multiplicity 8)
F: 0.000 0.500 0.000 (multiplicity 4)
F: 0.099 0.190 0.138 (multiplicity 16)
F: 0.135 0.277 0.500 (multiplicity 8)
F: 0.239 0.072 0.372 (multiplicity 16)

The 10 most intense peaks (10 to 80 degrees two-theta), by angle:
2theta	intensity	index
15.02	58	1 1 0
22.09	100	1 1 2
24.44	43	0 2 2
29.02	15	2 0 2
30.10	14	1 3 0
34.50	15	2 2 2
44.92	22	1 3 4
45.06	19	2 2 4
49.21	16	3 3 2
51.35	14	1 5 2

=====

No. 5
For Th2TlF8, the PBE geometry in Alexandria gives the calculated X-ray powder pattern in this record (Cu Kα (weighted mean of Kα1 and Kα2)).

Atomic structure:
a = 7.362 Å, b = 11.607 Å, c = 4.656 Å
α = 90.00°, β = 97.53°, γ = 90.00°
Space group C2/m (No. 12)
Unique sites:
Th: 0.000 0.175 0.000 (multiplicity 4)
Tl: 0.000 0.500 0.500 (multiplicity 2)
F: 0.000 0.208 0.500 (multiplicity 4)
F: 0.103 0.000 0.239 (multiplicity 4)
F: 0.189 0.347 0.070 (multiplicity 8)

The 10 most intense peaks (10 to 80 degrees two-theta), by angle:
2theta	intensity	index
19.23	23	0 0 1
22.73	56	1 1 -1
24.39	65	2 0 0
24.64	63	0 2 1
25.33	40	1 1 1
26.07	100	1 3 0
39.03	23	0 0 2
43.97	38	3 3 0
46.08	24	1 3 -2
48.96	27	1 3 2

=====

No. 6
For ThTl3F8, the PBE geometry in Alexandria gives the calculated X-ray powder pattern in this record (Cu Kα (weighted mean of Kα1 and Kα2)).

Atomic structure:
a = 6.262 Å, b = 6.262 Å, c = 11.621 Å
α = 90.00°, β = 90.00°, γ = 90.00°
Space group I4/mmm (No. 139)
Unique sites:
Th: 0.000 0.000 0.000 (multiplicity 2)
Tl: 0.000 0.000 0.500 (multiplicity 2)
Tl: 0.000 0.500 0.250 (multiplicity 4)
F: 0.217 0.217 0.119 (multiplicity 16)

The 10 most intense peaks (10 to 80 degrees two-theta), by angle:
2theta	intensity	index
25.29	100	1 1 2
28.51	25	2 0 0
30.78	10	0 0 4
40.76	19	2 2 0
42.45	35	2 0 4
48.57	35	3 1 2
51.50	15	1 1 6
51.93	11	2 2 4
67.67	13	3 1 6
75.35	12	4 2 4

=====

No. 7
For ThTlF5, the PBE geometry in Alexandria gives the calculated X-ray powder pattern in this record (Cu Kα (weighted mean of Kα1 and Kα2)).

Atomic structure:
a = 8.343 Å, b = 7.305 Å, c = 8.982 Å
α = 90.00°, β = 117.91°, γ = 90.00°
Space group P2_1/c (No. 14)
Unique sites:
Th: 0.083 0.157 0.362 (multiplicity 4)
Tl: 0.413 0.649 0.645 (multiplicity 4)
F: 0.131 0.204 0.124 (multiplicity 4)
F: 0.153 0.021 0.859 (multiplicity 4)
F: 0.161 0.576 0.073 (multiplicity 4)
F: 0.168 0.639 0.786 (multiplicity 4)
F: 0.386 0.182 0.497 (multiplicity 4)

The 10 most intense peaks (10 to 80 degrees two-theta), by angle:
2theta	intensity	index
23.37	49	1 1 1
24.08	87	2 0 -2
25.54	87	0 1 2
27.09	65	2 1 0
27.23	100	1 2 -1
32.53	20	1 1 -3
42.23	36	2 1 -4
42.31	49	1 3 1
44.33	27	3 2 -3
48.33	29	1 3 -3

=====

No. 8
For Tm2ThF11, the PBE geometry in Alexandria gives the calculated X-ray powder pattern in this record (Cu Kα (weighted mean of Kα1 and Kα2)).

Atomic structure:
a = 8.236 Å, b = 10.233 Å, c = 11.311 Å
α = 90.00°, β = 90.00°, γ = 90.00°
Space group Ibam (No. 72)
Unique sites:
Tm: 0.156 0.189 0.000 (multiplicity 8)
Th: 0.000 0.500 0.250 (multiplicity 4)
F: 0.000 0.000 0.000 (multiplicity 4)
F: 0.103 0.326 0.139 (multiplicity 16)
F: 0.112 0.195 0.500 (multiplicity 8)
F: 0.213 0.421 0.369 (multiplicity 16)

The 10 most intense peaks (10 to 80 degrees two-theta), by angle:
2theta	intensity	index
13.80	33	1 1 0
20.94	100	1 1 2
21.91	31	1 2 1
23.45	78	0 2 2
24.60	50	2 1 1
26.78	26	2 0 2
28.32	25	1 3 0
42.97	30	1 3 4
45.33	39	3 3 2
46.97	29	4 0 2